(1)
Simulated X-ray powder pattern
Compound: Li2NiO3
Radiation: Cu Kα
Structure: a crystal structure in the Materials Project, relaxed with GGA+U

Main lines, in order of rising 2θ (10 to 80 degrees two-theta):
d 4.713, I 100; d 4.219, I 29; d 3.887, I 22; d 3.408, I 15; d 2.427, I 37; d 2.021, I 91; d 1.436, I 24; d 1.422, I 24

Structural model:
```
data_Li2NiO3
_chemical_formula_sum 'Li8 Ni4 O12'
_symmetry_space_group_name_H-M 'P 1'
_symmetry_Int_Tables_number 1
_cell_length_a 4.9270
_cell_length_b 4.9270
_cell_length_c 9.5688
_cell_angle_alpha 94.95
_cell_angle_beta 94.95
_cell_angle_gamma 120.00
loop_
_symmetry_equiv_pos_as_xyz
'x,y,z'
loop_
_atom_site_label
_atom_site_type_symbol
_atom_site_fract_x
_atom_site_fract_y
_atom_site_fract_z
Li1 Li 0.0000 0.5000 0.5000
Li2 Li 0.0841 0.9159 0.7500
Li3 Li 0.1583 0.3198 0.0003
Li4 Li 0.3198 0.1583 0.5003
Li5 Li 0.5000 0.0000 0.0000
Li6 Li 0.6802 0.8417 0.4997
Li7 Li 0.8417 0.6802 0.9997
Li8 Li 0.9159 0.0841 0.2500
Ni1 Ni 0.2500 0.7500 0.2500
Ni2 Ni 0.4169 0.5831 0.7500
Ni3 Ni 0.5831 0.4169 0.2500
Ni4 Ni 0.7500 0.2500 0.7500
O1 O 0.0467 0.2376 0.6372
O2 O 0.1205 0.5939 0.8614
O3 O 0.2376 0.0467 0.1372
O4 O 0.3130 0.4807 0.3614
O5 O 0.4061 0.8795 0.6386
O6 O 0.4807 0.3130 0.8614
O7 O 0.5193 0.6870 0.1386
O8 O 0.5939 0.1205 0.3614
O9 O 0.6870 0.5193 0.6386
O10 O 0.7624 0.9533 0.8628
O11 O 0.8795 0.4061 0.1386
O12 O 0.9533 0.7624 0.3628
```

=====

(2)
Simulated X-ray powder pattern
Compound: LiNiO2
Radiation: Cu Kα
Structure: a crystal structure in the Materials Project, relaxed with GGA+U

Main lines, in order of rising 2θ (10 to 80 degrees two-theta):
d 4.716, I 100; d 4.079, I 27; d 4.033, I 26; d 2.357, I 41; d 2.069, I 46; d 2.039, I 44; d 2.016, I 43; d 1.452, I 25

Structural model:
```
data_LiNiO2
_chemical_formula_sum 'Li4 Ni4 O8'
_symmetry_space_group_name_H-M 'P 1'
_symmetry_Int_Tables_number 1
_cell_length_a 5.7781
_cell_length_b 5.7781
_cell_length_c 5.7317
_cell_angle_alpha 119.36
_cell_angle_beta 119.36
_cell_angle_gamma 91.48
loop_
_symmetry_equiv_pos_as_xyz
'x,y,z'
loop_
_atom_site_label
_atom_site_type_symbol
_atom_site_fract_x
_atom_site_fract_y
_atom_site_fract_z
Li1 Li 0.0000 0.0000 0.0000
Li2 Li 0.0000 0.0000 0.5000
Li3 Li 0.0000 0.5000 0.0000
Li4 Li 0.5000 0.0000 0.0000
Ni1 Ni 0.0000 0.5000 0.5000
Ni2 Ni 0.5000 0.0000 0.5000
Ni3 Ni 0.5000 0.5000 0.0000
Ni4 Ni 0.5000 0.5000 0.5000
O1 O 0.2580 0.2580 0.4861
O2 O 0.2685 0.7315 0.0000
O3 O 0.2698 0.7302 0.5000
O4 O 0.2785 0.2785 0.0324
O5 O 0.7215 0.7215 0.9676
O6 O 0.7302 0.2698 0.5000
O7 O 0.7315 0.2685 0.0000
O8 O 0.7420 0.7420 0.5139
```